Diffraction record for Er6In3Co. The XRD peak list is theoretical, not measured: it uses a crystal structure in Alexandria, relaxed with PBE and Cu Kα (λ = 1.5418 Å).

Main lines, low angle first (10 to 90 degrees two-theta):
| 2θ/deg | I_rel | h k l |
| --- | --- | --- |
| 29.60 | 19 | 0 3 1 |
| 30.93 | 29 | 2 3 0 |
| 31.23 | 89 | 1 3 1 |
| 34.48 | 100 | 3 0 1 |
| 35.29 | 54 | 0 0 2 |
| 37.63 | 17 | 2 4 0 |
| 37.88 | 20 | 1 4 1 |
| 46.78 | 16 | 4 3 0 |
| 47.62 | 22 | 2 3 2 |
| 59.92 | 18 | 4 3 2 |
| 60.86 | 23 | 1 3 3 |
| 62.81 | 17 | 3 0 3 |

Crystal structure
Cell: 9.0819 11.2469 5.0868 Å, 90.00 90.00 90.00°
Positions (direct):
Er  0.0223  0.2262  0.0000
Er  0.1565  0.0721  0.5000
Er  0.1938  0.4067  0.5000
Er  0.3062  0.9067  0.0000
Er  0.3435  0.5721  0.0000
Er  0.4777  0.7262  0.5000
Er  0.5223  0.2738  0.5000
Er  0.6565  0.4279  0.0000
Er  0.6938  0.0933  0.0000
Er  0.8062  0.5933  0.5000
Er  0.8435  0.9279  0.5000
Er  0.9777  0.7738  0.0000
In  0.0000  0.5000  0.0000
In  0.1455  0.7173  0.5000
In  0.3545  0.2173  0.0000
In  0.5000  0.0000  0.5000
In  0.6455  0.7827  0.0000
In  0.8545  0.2827  0.5000
Co  0.0000  0.0000  0.0000
Co  0.5000  0.5000  0.5000